Theoretical XRD peak list of Fe2Hg3 for Cu Kα X-rays, from a structure optimized by DFT (PBE).
Kinematic intensities with the Lorentz-polarization factor, no thermal factor.

Main lines, by angle (15° ≤ 2θ ≤ 90°):
- 27.7°, d = 3.219 Å, I = 80, (3 1 0)
- 30.7°, d = 2.915 Å, I = 24, (0 0 1)
- 35.7°, d = 2.515 Å, I = 34, (2 0 1)
- 37.9°, d = 2.376 Å, I = 56, (5 1 0)
- 38.6°, d = 2.331 Å, I = 100, (3 1 -1)
- 40.8°, d = 2.211 Å, I = 42, (0 2 0)
- 44.3°, d = 2.047 Å, I = 20, (6 0 -1)
- 44.8°, d = 2.022 Å, I = 17, (3 1 1)
- 51.9°, d = 1.761 Å, I = 22, (8 0 0)
- 53.9°, d = 1.702 Å, I = 17, (5 1 1)
- 55.3°, d = 1.661 Å, I = 19, (2 2 1)
- 83.7°, d = 1.156 Å, I = 18, (5 1 2)

Cell and atoms:
a b c (Å): 14.3943 4.4223 2.9791
angles (deg): 90.00 101.94 90.00
Element x y z (fractional)
Fe1 0.2005 0.0000 0.4697
Fe2 0.2995 0.5000 0.5303
Fe3 0.7005 0.5000 0.4697
Fe4 0.7995 0.0000 0.5303
Hg1 0.0000 0.0000 0.0000
Hg2 0.1322 0.5000 0.8797
Hg3 0.3678 0.0000 0.1203
Hg4 0.5000 0.5000 0.0000
Hg5 0.6322 0.0000 0.8797
Hg6 0.8678 0.5000 0.1203

Theoretical XRD peak list of CaY for Cu Kα X-rays, from a structure optimized by DFT (PBE).
Kinematic intensities with the Lorentz-polarization factor, no thermal factor.

Main lines, by angle (15° ≤ 2θ ≤ 90°):
- 29.2°, d = 3.060 Å, I = 26, (0 0 4)
- 30.2°, d = 2.962 Å, I = 26, (0 2 0)
- 30.5°, d = 2.933 Å, I = 100, (1 1 2)
- 34.7°, d = 2.586 Å, I = 13, (1 1 3)
- 42.5°, d = 2.128 Å, I = 18, (0 2 4)
- 44.8°, d = 2.024 Å, I = 8, (2 0 0)
- 52.6°, d = 1.741 Å, I = 16, (1 1 6)
- 53.8°, d = 1.704 Å, I = 19, (1 3 2)
- 54.3°, d = 1.688 Å, I = 8, (2 0 4)
- 54.9°, d = 1.671 Å, I = 9, (2 2 0)
- 63.4°, d = 1.467 Å, I = 10, (2 2 4)
- 73.6°, d = 1.286 Å, I = 7, (3 1 2)

Cell and atoms:
a b c (Å): 4.0486 5.9231 12.2407
angles (deg): 90.00 90.00 90.00
Element x y z (fractional)
Ca1 0.0000 0.2500 0.1361
Ca2 0.0000 0.7500 0.8639
Ca3 0.5000 0.2500 0.8639
Ca4 0.5000 0.7500 0.1361
Y1 0.0000 0.2500 0.6106
Y2 0.0000 0.7500 0.3894
Y3 0.5000 0.2500 0.3894
Y4 0.5000 0.7500 0.6106

Repeat the first record exactly.
Theoretical XRD peak list of Fe2Hg3 for Cu Kα X-rays, from a structure optimized by DFT (PBE).
Kinematic intensities with the Lorentz-polarization factor, no thermal factor.

Main lines, by angle (15° ≤ 2θ ≤ 90°):
- 27.7°, d = 3.219 Å, I = 80, (3 1 0)
- 30.7°, d = 2.915 Å, I = 24, (0 0 1)
- 35.7°, d = 2.515 Å, I = 34, (2 0 1)
- 37.9°, d = 2.376 Å, I = 56, (5 1 0)
- 38.6°, d = 2.331 Å, I = 100, (3 1 -1)
- 40.8°, d = 2.211 Å, I = 42, (0 2 0)
- 44.3°, d = 2.047 Å, I = 20, (6 0 -1)
- 44.8°, d = 2.022 Å, I = 17, (3 1 1)
- 51.9°, d = 1.761 Å, I = 22, (8 0 0)
- 53.9°, d = 1.702 Å, I = 17, (5 1 1)
- 55.3°, d = 1.661 Å, I = 19, (2 2 1)
- 83.7°, d = 1.156 Å, I = 18, (5 1 2)

Cell and atoms:
a b c (Å): 14.3943 4.4223 2.9791
angles (deg): 90.00 101.94 90.00
Element x y z (fractional)
Fe1 0.2005 0.0000 0.4697
Fe2 0.2995 0.5000 0.5303
Fe3 0.7005 0.5000 0.4697
Fe4 0.7995 0.0000 0.5303
Hg1 0.0000 0.0000 0.0000
Hg2 0.1322 0.5000 0.8797
Hg3 0.3678 0.0000 0.1203
Hg4 0.5000 0.5000 0.0000
Hg5 0.6322 0.0000 0.8797
Hg6 0.8678 0.5000 0.1203

Which formula does entry 2 have? CaY